Ca2HoMn4BiO12: theoretical powder diffractogram (λ = 1.5418 Å (Cu Kα)), based on the PBE+U geometry in Alexandria.
Peak positions follow from Bragg's law for the DFT cell and can differ from measured ones.

Principal peaks in the range 2θ from 5° to 70°, by angle:
| d [Å] | I_rel |
| --- | --- |
| 4.498 | 35 |
| 4.401 | 40 |
| 3.452 | 15 |
| 2.783 | 21 |
| 2.718 | 100 |
| 2.693 | 25 |
| 2.314 | 14 |
| 1.939 | 12 |
| 1.908 | 16 |
| 1.558 | 23 |

Structural model:
a b c (Å): 5.386 7.633 5.567
angles (deg): 90.00 90.19 90.00
Space group Pm (No. 6)
Asymmetric unit:
1 Ca 0.000 0.000 0.000 x1
2 Ca 0.500 0.500 0.397 x1
3 Ho 0.473 0.000 0.510 x1
4 Mn 0.487 0.247 0.951 x2
5 Mn 0.988 0.247 0.444 x2
6 Bi 0.974 0.500 0.891 x1
7 O 0.072 0.500 0.471 x1
8 O 0.200 0.198 0.733 x2
9 O 0.290 0.197 0.248 x2
10 O 0.399 0.500 0.975 x1
11 O 0.575 0.000 0.913 x1
12 O 0.692 0.291 0.652 x2
13 O 0.788 0.293 0.150 x2
14 O 0.884 0.000 0.420 x1